Record 1
Theoretical XRD peak list
Compound: GdGe2
Radiation: copper Kα
Structure: a structure optimized by DFT (GGA-PBE)
Kinematic intensities with the Lorentz-polarization factor, no thermal factor.

Principal peaks in the range 2θ from 5° to 70°, in order of rising 2θ:
d = 4.099 Å, 2θ = 21.68°, I = 12; d = 3.237 Å, 2θ = 27.56°, I = 29; d = 2.684 Å, 2θ = 33.38°, I = 100; d = 2.540 Å, 2θ = 35.33°, I = 56; d = 2.023 Å, 2θ = 44.79°, I = 35; d = 2.009 Å, 2θ = 45.14°, I = 35; d = 1.707 Å, 2θ = 53.70°, I = 9; d = 1.576 Å, 2θ = 58.58°, I = 26; d = 1.426 Å, 2θ = 65.47°, I = 22; d = 1.420 Å, 2θ = 65.75°, I = 20

Atomic structure:
```
GdGe2
1.0
-2.0088 2.0088 8.1975
2.0088 -2.0088 8.1975
2.0088 2.0088 -8.1975
Gd Ge
2 4
Direct
0.3750 0.6250 0.7500
0.6250 0.3750 0.2500
0.0466 0.7966 0.2500
0.2034 0.9534 0.2500
0.7966 0.0466 0.7500
0.9534 0.2034 0.7500
```

Record 2
Theoretical XRD peak list
Compound: NaAlSiO5
Radiation: copper Kα
Structure: a structure optimized by DFT (GGA-PBE)
Kinematic intensities with the Lorentz-polarization factor, no thermal factor.

Principal peaks in the range 2θ from 5° to 70°, in order of rising 2θ:
d = 4.471 Å, 2θ = 19.86°, I = 56; d = 3.872 Å, 2θ = 22.97°, I = 2; d = 2.738 Å, 2θ = 32.71°, I = 100; d = 2.335 Å, 2θ = 38.56°, I = 7; d = 2.235 Å, 2θ = 40.35°, I = 16; d = 1.936 Å, 2θ = 46.93°, I = 2; d = 1.777 Å, 2θ = 51.44°, I = 10; d = 1.581 Å, 2θ = 58.38°, I = 33; d = 1.490 Å, 2θ = 62.30°, I = 1; d = 1.369 Å, 2θ = 68.55°, I = 23

Atomic structure:
```
NaAlSiO5
1.0
0.0000 3.8718 3.8718
3.8718 0.0000 3.8718
3.8718 3.8718 0.0000
Na Al Si O
1 1 1 5
Direct
0.0000 0.0000 0.0000
0.2500 0.2500 0.2500
0.5000 0.5000 0.5000
0.3789 0.3789 0.3789
0.3789 0.3789 0.8633
0.3789 0.8633 0.3789
0.7500 0.7500 0.7500
0.8633 0.3789 0.3789
```

Record 3
Theoretical XRD peak list
Compound: HoAgSe2
Radiation: copper Kα
Structure: a structure optimized by DFT (GGA-PBE)
Kinematic intensities with the Lorentz-polarization factor, no thermal factor.

Principal peaks in the range 2θ from 5° to 70°, in order of rising 2θ:
d = 5.161 Å, 2θ = 17.18°, I = 9; d = 3.357 Å, 2θ = 26.55°, I = 22; d = 3.025 Å, 2θ = 29.53°, I = 56; d = 2.853 Å, 2θ = 31.35°, I = 100; d = 2.076 Å, 2θ = 43.61°, I = 76; d = 2.017 Å, 2θ = 44.93°, I = 36; d = 1.729 Å, 2θ = 52.95°, I = 7; d = 1.678 Å, 2θ = 54.69°, I = 39; d = 1.512 Å, 2θ = 61.29°, I = 6; d = 1.427 Å, 2θ = 65.42°, I = 12

Atomic structure:
```
HoAgSe2
1.0
5.7044 0.0000 0.0000
0.0005 5.7078 0.0000
2.8473 2.8511 6.0497
Ho Ag Se
2 2 4
Direct
0.0000 0.0000 0.0000
0.2514 0.7496 0.5006
0.5054 0.4963 0.0011
0.7473 0.2349 0.5044
0.0176 0.5129 0.9732
0.2356 0.2347 0.5276
0.4869 0.9841 0.0283
0.7643 0.7551 0.4734
```

Record 4
Theoretical XRD peak list
Compound: NbB4Mo3
Radiation: copper Kα
Structure: a structure optimized by DFT (GGA-PBE)
Kinematic intensities with the Lorentz-polarization factor, no thermal factor.

Principal peaks in the range 2θ from 5° to 70°, in order of rising 2θ:
d = 3.004 Å, 2θ = 29.74°, I = 55; d = 2.518 Å, 2θ = 35.65°, I = 99; d = 2.160 Å, 2θ = 41.82°, I = 100; d = 2.149 Å, 2θ = 42.04°, I = 28; d = 2.137 Å, 2θ = 42.30°, I = 65; d = 1.761 Å, 2θ = 51.94°, I = 17; d = 1.603 Å, 2θ = 57.49°, I = 16; d = 1.554 Å, 2θ = 59.49°, I = 15; d = 1.362 Å, 2θ = 68.95°, I = 28; d = 1.352 Å, 2θ = 69.51°, I = 27

Atomic structure:
```
NbB4Mo3
1.0
6.2156 0.0000 0.0000
0.0000 1.6030 4.2985
0.0000 -1.6030 4.2985
Nb B Mo
1 4 3
Direct
0.0000 0.0000 0.0000
0.0000 0.2941 0.2941
0.2525 0.4118 0.4118
0.5000 0.2935 0.2935
0.7475 0.4118 0.4118
0.2542 0.7092 0.7092
0.5000 0.9976 0.9976
0.7458 0.7092 0.7092
```

Record 5
Theoretical XRD peak list
Compound: ReO3F
Radiation: copper Kα
Structure: a structure optimized by DFT (GGA-PBE)
Kinematic intensities with the Lorentz-polarization factor, no thermal factor.

Principal peaks in the range 2θ from 5° to 70°, in order of rising 2θ:
d = 5.468 Å, 2θ = 16.21°, I = 71; d = 4.680 Å, 2θ = 18.96°, I = 20; d = 4.300 Å, 2θ = 20.66°, I = 100; d = 3.551 Å, 2θ = 25.08°, I = 17; d = 2.940 Å, 2θ = 30.41°, I = 20; d = 2.930 Å, 2θ = 30.51°, I = 13; d = 2.876 Å, 2θ = 31.09°, I = 32; d = 2.153 Å, 2θ = 41.96°, I = 26; d = 2.068 Å, 2θ = 43.78°, I = 14; d = 1.545 Å, 2θ = 59.86°, I = 15

Atomic structure:
```
ReO3F
1.0
6.9613 0.0000 0.0000
0.0000 6.3230 0.0000
-0.0460 0.0000 10.9212
Re O F
6 18 6
Direct
0.0000 0.0389 0.2500
0.0000 0.9611 0.7500
0.3347 0.2783 0.8568
0.3347 0.7217 0.3568
0.6653 0.2783 0.6432
0.6653 0.7217 0.1432
0.1414 0.2058 0.1664
0.1414 0.7942 0.6664
0.1673 0.0420 0.8816
0.1673 0.9580 0.3816
0.1941 0.4873 0.8991
0.1941 0.5127 0.3991
0.4789 0.2372 0.9817
0.4789 0.7628 0.4817
0.5000 0.4340 0.7500
0.5000 0.5660 0.2500
0.5211 0.2372 0.5183
0.5211 0.7628 0.0183
0.8059 0.4873 0.6009
0.8059 0.5127 0.1009
0.8327 0.0420 0.6184
0.8327 0.9580 0.1184
0.8586 0.2058 0.3336
0.8586 0.7942 0.8336
0.1663 0.2329 0.6901
0.1663 0.7671 0.1901
0.5000 0.0520 0.7500
0.5000 0.9480 0.2500
0.8337 0.2329 0.8099
0.8337 0.7671 0.3099
```